Record 1
Structure and theoretical PXRD pattern of K2H2IrCl5O (a DFT-relaxed cell (PBE, OQMD); Cu Kα X-rays).

Most intense lines, 2θ = 15–90°, sorted by position:
2theta  I (rel.)  hkl
15.28  100  0 1 1
16.10  87  2 1 0
17.59  55  2 0 1
19.20  19  0 2 0
26.15  32  2 2 1
30.98  22  3 0 2
31.42  19  0 3 1
31.84  20  2 3 0
38.98  26  0 4 0
42.56  23  3 1 3

Cell and atoms:
```
data_K2H2IrCl5O
_space_group_name_H-M_alt 'P n m a'
_space_group_IT_number 62
_cell_length_a 13.7101
_cell_length_b 9.2433
_cell_length_c 7.4465
_cell_angle_alpha 90.00
_cell_angle_beta 90.00
_cell_angle_gamma 90.00
loop_
_space_group_symop_operation_xyz
'x,y,z'
'-x,-y,-z'
'-x+1/2,-y,z+1/2'
'x+1/2,y,-z+1/2'
'x+1/2,-y+1/2,-z+1/2'
'-x+1/2,y+1/2,z+1/2'
'-x,y+1/2,-z'
'x,-y+1/2,z'
loop_
_atom_site_label
_atom_site_type_symbol
_atom_site_fract_x
_atom_site_fract_y
_atom_site_fract_z
K1 K 0.1529 0.0028 0.1275
H1 H 0.0381 0.1633 0.5309
Ir1 Ir 0.1026 0.7500 0.6949
Cl1 Cl 0.0071 0.7500 0.9604
Cl2 Cl 0.1019 0.0059 0.6988
Cl3 Cl 0.1969 0.7500 0.4275
Cl4 Cl 0.2441 0.7500 0.8699
O1 O 0.0278 0.2500 0.4539
```


Record 2
Structure and theoretical PXRD pattern of H4IrNCl4 (a DFT-relaxed cell (PBE, OQMD); Cu Kα X-rays).

Most intense lines, 2θ = 15–90°, sorted by position:
2theta  I (rel.)  hkl
21.74  81  1 1 2
23.83  100  2 0 0
27.53  41  0 0 4
27.65  29  1 2 1
36.74  31  2 0 4
40.75  68  1 3 2
44.29  23  1 2 5
55.12  25  4 2 0
57.91  19  1 3 6
62.70  23  4 2 4

Cell and atoms:
```
data_H4IrNCl4
_space_group_name_H-M_alt 'I 41/a'
_space_group_IT_number 88
_cell_length_a 7.4497
_cell_length_b 7.4497
_cell_length_c 12.9639
_cell_angle_alpha 90.00
_cell_angle_beta 90.00
_cell_angle_gamma 90.00
loop_
_space_group_symop_operation_xyz
'x,y,z'
'-x,-y,-z'
'-y+3/4,x+1/4,z+1/4'
'y+3/4,-x+1/4,-z+1/4'
'-x+1/2,-y,z+1/2'
'x+1/2,y,-z+1/2'
'y+3/4,-x+3/4,z+3/4'
'-y+3/4,x+3/4,-z+3/4'
'x+1/2,y+1/2,z+1/2'
'-x+1/2,-y+1/2,-z+1/2'
'-y+1/4,x+3/4,z+3/4'
'y+1/4,-x+3/4,-z+3/4'
'-x,-y+1/2,z'
'x,y+1/2,-z'
'y+1/4,-x+1/4,z+1/4'
'-y+1/4,x+1/4,-z+1/4'
loop_
_atom_site_label
_atom_site_type_symbol
_atom_site_fract_x
_atom_site_fract_y
_atom_site_fract_z
H1 H 0.0342 0.1424 0.1719
Ir1 Ir 0.0000 0.2500 0.6250
N1 N 0.0000 0.2500 0.1250
Cl1 Cl 0.0814 0.0408 0.3495
```


Record 3
Structure and theoretical PXRD pattern of K2H3PdCl (a DFT-relaxed cell (PBE, OQMD); Cu Kα X-rays).

Most intense lines, 2θ = 15–90°, sorted by position:
2theta  I (rel.)  hkl
18.80  100  1 1 1
29.84  83  2 2 0
30.32  44  0 2 2
32.60  38  2 0 2
33.40  22  1 3 1
37.50  17  3 1 1
38.30  33  1 1 3
39.06  19  0 4 0
47.70  16  1 3 3
51.77  19  2 4 2

Cell and atoms:
```
data_K2H3PdCl
_space_group_name_H-M_alt 'F m m 2'
_space_group_IT_number 42
_space_group_name_Hall 'F 2 -2'
_cell_length_a 7.8755
_cell_length_b 9.2237
_cell_length_c 7.6644
_cell_angle_alpha 90.00
_cell_angle_beta 90.00
_cell_angle_gamma 90.00
loop_
_atom_site_label
_atom_site_type_symbol
_atom_site_fract_x
_atom_site_fract_y
_atom_site_fract_z
K1 K 0.2500 0.2500 0.0000
H1 H 0.0000 0.0000 0.0526
H2 H 0.0000 0.1803 0.2473
Pd1 Pd 0.0000 0.0000 0.2585
Cl1 Cl 0.0000 0.0000 0.5807
```


Record 4
Structure and theoretical PXRD pattern of Li6Zr6HCl18 (a DFT-relaxed cell (PBE, OQMD); Cu Kα X-rays).

Most intense lines, 2θ = 15–90°, sorted by position:
2theta  I (rel.)  hkl
16.27  11  0 2 1
19.74  11  2 1 1
25.34  11  1 3 1
32.29  14  1 1 3
34.81  100  5 -3 2
40.10  12  4 2 2
42.85  11  5 -4 3
49.88  26  1 7 0
50.23  27  3 2 4
62.26  11  6 4 2

Cell and atoms:
```
data_Li6Zr6HCl18
_space_group_name_H-M_alt 'R -3'
_space_group_IT_number 148
_space_group_name_Hall '-R 3'
_cell_length_a 15.9390
_cell_length_b 15.9390
_cell_length_c 8.8698
_cell_angle_alpha 90.00
_cell_angle_beta 90.00
_cell_angle_gamma 120.00
loop_
_atom_site_label
_atom_site_type_symbol
_atom_site_fract_x
_atom_site_fract_y
_atom_site_fract_z
Li1 Li 0.0586 0.5652 0.1596
Zr1 Zr 0.0162 0.1225 0.1460
H1 H 0.0000 0.0000 0.0000
Cl1 Cl 0.0190 0.1407 0.6674
Cl2 Cl 0.0376 0.2660 0.3322
Cl3 Cl 0.0737 0.5646 0.6678
```


Record 5
Structure and theoretical PXRD pattern of NiH8N2Cl6 (a DFT-relaxed cell (PBE, OQMD); Cu Kα X-rays).

Most intense lines, 2θ = 15–90°, sorted by position:
2theta  I (rel.)  hkl
15.88  100  1 1 1
18.36  68  2 0 0
30.68  26  3 1 1
32.09  68  2 2 2
37.22  94  4 0 0
41.80  33  4 2 0
48.98  25  5 1 1
53.65  53  4 4 0
56.32  19  5 3 1
67.11  16  4 4 4

Cell and atoms:
```
data_NiH8N2Cl6
_space_group_name_H-M_alt 'F m -3 m'
_space_group_IT_number 225
_space_group_name_Hall '-F 4 2 3'
_cell_length_a 9.6635
_cell_length_b 9.6635
_cell_length_c 9.6635
_cell_angle_alpha 90.00
_cell_angle_beta 90.00
_cell_angle_gamma 90.00
loop_
_atom_site_label
_atom_site_type_symbol
_atom_site_fract_x
_atom_site_fract_y
_atom_site_fract_z
Ni1 Ni 0.0000 0.0000 0.0000
H1 H 0.1883 0.1883 0.3117
N1 N 0.2500 0.2500 0.2500
Cl1 Cl 0.0000 0.0000 0.2322
```


Record 6
Structure and theoretical PXRD pattern of NiH4NCl4 (a DFT-relaxed cell (PBE, OQMD); Cu Kα X-rays).

Most intense lines, 2θ = 15–90°, sorted by position:
2theta  I (rel.)  hkl
21.83  100  1 1 2
28.68  13  2 0 2
29.90  65  1 1 4
34.31  15  2 1 3
35.36  27  2 0 4
41.95  18  1 2 5
43.60  16  1 3 2
48.47  12  2 3 1
51.69  13  2 1 7
55.98  19  3 1 6

Cell and atoms:
```
data_NiH4NCl4
_space_group_name_H-M_alt 'I 41/a'
_space_group_IT_number 88
_cell_length_a 6.8242
_cell_length_b 6.8242
_cell_length_c 15.1951
_cell_angle_alpha 90.00
_cell_angle_beta 90.00
_cell_angle_gamma 90.00
loop_
_space_group_symop_operation_xyz
'x,y,z'
'-x,-y,-z'
'-y+3/4,x+1/4,z+1/4'
'y+3/4,-x+1/4,-z+1/4'
'-x+1/2,-y,z+1/2'
'x+1/2,y,-z+1/2'
'y+3/4,-x+3/4,z+3/4'
'-y+3/4,x+3/4,-z+3/4'
'x+1/2,y+1/2,z+1/2'
'-x+1/2,-y+1/2,-z+1/2'
'-y+1/4,x+3/4,z+3/4'
'y+1/4,-x+3/4,-z+3/4'
'-x,-y+1/2,z'
'x,y+1/2,-z'
'y+1/4,-x+1/4,z+1/4'
'-y+1/4,x+1/4,-z+1/4'
loop_
_atom_site_label
_atom_site_type_symbol
_atom_site_fract_x
_atom_site_fract_y
_atom_site_fract_z
Ni1 Ni 0.0000 0.2500 0.1250
H1 H 0.0005 0.1267 0.6647
N1 N 0.0000 0.2500 0.6250
Cl1 Cl 0.1287 0.4787 0.2044
```


Record 7
Structure and theoretical PXRD pattern of H8PdN2Cl6 (a DFT-relaxed cell (PBE, OQMD); Cu Kα X-rays).

Most intense lines, 2θ = 15–90°, sorted by position:
2theta  I (rel.)  hkl
15.67  100  1 0 0
17.88  25  0 0 2
18.23  46  1 1 -1
29.97  13  1 0 2
30.41  29  2 1 -3
31.65  21  0 2 2
36.22  24  0 0 4
36.95  44  2 2 -2
48.58  13  3 2 -4
52.70  26  2 2 -6

Cell and atoms:
```
data_H8PdN2Cl6
_space_group_name_H-M_alt 'P 1 21/c 1'
_space_group_IT_number 14
_cell_length_a 6.8833
_cell_length_b 6.8794
_cell_length_c 12.0659
_cell_angle_alpha 90.00
_cell_angle_beta 124.69
_cell_angle_gamma 90.00
loop_
_space_group_symop_operation_xyz
'x,y,z'
'-x,-y,-z'
'-x,y+1/2,-z+1/2'
'x,-y+1/2,z+1/2'
loop_
_atom_site_label
_atom_site_type_symbol
_atom_site_fract_x
_atom_site_fract_y
_atom_site_fract_z
H1 H 0.0913 0.0512 0.1669
H2 H 0.2400 0.6471 0.7625
H3 H 0.2863 0.0746 0.3354
H4 H 0.3852 0.0242 0.2375
Pd1 Pd 0.0000 0.0000 0.5000
N1 N 0.2506 0.0008 0.2506
Cl1 Cl 0.2191 0.7454 0.4929
Cl2 Cl 0.2467 0.5102 0.2365
Cl3 Cl 0.2511 0.2264 0.4966
```


Record 8
Structure and theoretical PXRD pattern of SnH12PtN4Cl6 (a DFT-relaxed cell (PBE, OQMD); Cu Kα X-rays).

Most intense lines, 2θ = 15–90°, sorted by position:
2theta  I (rel.)  hkl
15.10  97  2 0 0
16.10  88  0 2 0
17.03  67  0 0 2
22.14  40  2 2 0
22.83  64  2 0 2
23.52  60  0 2 2
28.05  100  2 2 2
38.84  35  4 2 2
40.11  30  2 4 2
41.33  40  2 2 4

Cell and atoms:
```
data_SnH12PtN4Cl6
_space_group_name_H-M_alt 'C m c e'
_space_group_IT_number 64
_space_group_name_Hall '-C 2ac 2'
_cell_length_a 11.7375
_cell_length_b 11.0110
_cell_length_c 10.4138
_cell_angle_alpha 90.00
_cell_angle_beta 90.00
_cell_angle_gamma 90.00
loop_
_atom_site_label
_atom_site_type_symbol
_atom_site_fract_x
_atom_site_fract_y
_atom_site_fract_z
Sn1 Sn 0.0000 0.0000 0.0000
H1 H 0.1041 0.1942 0.4045
H2 H 0.1455 0.0694 0.3278
H3 H 0.1992 0.1040 0.4715
Pt1 Pt 0.0000 0.0000 0.5000
N1 N 0.1259 0.1043 0.4170
Cl1 Cl 0.0000 0.1839 0.1307
Cl2 Cl 0.1495 0.0905 0.8618
```


Record 9
Structure and theoretical PXRD pattern of ReH8N2Cl6 (a DFT-relaxed cell (PBE, OQMD); Cu Kα X-rays).

Most intense lines, 2θ = 15–90°, sorted by position:
2theta  I (rel.)  hkl
15.51  100  1 1 1
17.93  66  2 0 0
25.46  26  2 2 0
29.95  52  3 1 1
36.31  42  4 0 0
39.70  19  3 3 1
40.78  35  4 2 0
47.76  24  5 1 1
52.30  27  4 4 0
54.89  23  5 3 1

Cell and atoms:
```
data_ReH8N2Cl6
_space_group_name_H-M_alt 'F m -3 m'
_space_group_IT_number 225
_space_group_name_Hall '-F 4 2 3'
_cell_length_a 9.8957
_cell_length_b 9.8957
_cell_length_c 9.8957
_cell_angle_alpha 90.00
_cell_angle_beta 90.00
_cell_angle_gamma 90.00
loop_
_atom_site_label
_atom_site_type_symbol
_atom_site_fract_x
_atom_site_fract_y
_atom_site_fract_z
Re1 Re 0.0000 0.0000 0.0000
H1 H 0.1897 0.1897 0.3103
N1 N 0.2500 0.2500 0.2500
Cl1 Cl 0.0000 0.0000 0.2396
```